The following is a calculated XRD peak list of ReBiO4. It was derived from a DFT-relaxed cell (GGA-PBE, the Materials Project), using Cu Kα (weighted mean of Kα1 and Kα2).
Kinematic intensities with the Lorentz-polarization factor, no thermal factor.

Principal peaks in the range 2θ = 15–90°, sorted by position:
Position (°2θ), I_rel
28.19, 96
28.67, 100
28.96, 19
31.96, 31
37.42, 28
43.67, 18
47.04, 17
50.02, 42
55.75, 29
61.73, 22

abc: 7.912 7.912 5.600
angles: 90.00 90.00 151.74
Atoms (fractional coordinates):
1 Re 0.082 0.918 0.750
2 Re 0.918 0.082 0.250
3 Bi 0.309 0.691 0.750
4 Bi 0.691 0.309 0.250
5 O 0.000 0.000 0.000
6 O 0.000 0.000 0.500
7 O 0.186 0.814 0.517
8 O 0.186 0.814 0.983
9 O 0.411 0.589 0.250
10 O 0.589 0.411 0.750
11 O 0.814 0.186 0.017
12 O 0.814 0.186 0.483